# 1
Theoretical powder XRD pattern
Compound: SnMoOs2I
Radiation: Cu Kα, 1.54184 Å
Structure: a DFT-relaxed cell (GGA-PBE, Alexandria)
Kinematic intensities with the Lorentz-polarization factor, no thermal factor.

Top 10 peaks for 10 to 80 degrees two-theta, most intense first:
- 30.77 deg, d = 2.905 Å, I 100.0
- 37.32 deg, d = 2.410 Å, I 76.8
- 50.10 deg, d = 1.821 Å, I 61.1
- 32.21 deg, d = 2.779 Å, I 52.5
- 15.94 deg, d = 5.559 Å, I 42.7
- 63.27 deg, d = 1.470 Å, I 30.9
- 64.10 deg, d = 1.453 Å, I 29.3
- 53.80 deg, d = 1.704 Å, I 29.1
- 79.61 deg, d = 1.204 Å, I 25.7
- 56.52 deg, d = 1.628 Å, I 24.9

Atomic structure:
```
SnMoOs2I
1.0
4.8198 0.0000 0.0000
0.0000 4.8198 0.0000
0.0000 0.0000 5.5586
Sn Mo Os I
1 1 2 1
direct
0.0000 0.0000 0.0000
0.5000 0.5000 0.0000
0.0000 0.5000 0.5000
0.5000 0.0000 0.5000
0.0000 0.0000 0.5000
```



# 2
Theoretical powder XRD pattern
Compound: ErZrCoRu
Radiation: Cu Kα, 1.54184 Å
Structure: a DFT-relaxed cell (GGA-PBE, Alexandria)
Kinematic intensities with the Lorentz-polarization factor, no thermal factor.

Top 10 peaks for 10 to 80 degrees two-theta, most intense first:
- 38.78 deg, d = 2.322 Å, I 100.0
- 38.66 deg, d = 2.329 Å, I 51.6
- 70.05 deg, d = 1.343 Å, I 33.8
- 55.83 deg, d = 1.647 Å, I 17.4
- 70.28 deg, d = 1.339 Å, I 15.7
- 30.38 deg, d = 2.942 Å, I 11.5
- 56.18 deg, d = 1.637 Å, I 7.8
- 13.52 deg, d = 6.549 Å, I 6.7
- 27.07 deg, d = 3.293 Å, I 6.2
- 57.90 deg, d = 1.593 Å, I 3.6

Atomic structure:
```
ErZrCoRu
1.0
3.2934 0.0000 0.0000
0.0000 3.2934 0.0000
0.0000 0.0000 6.5492
Er Zr Co Ru
1 1 1 1
direct
0.0000 0.0000 0.0000
0.0000 0.0000 0.5095
0.5000 0.5000 0.7340
0.5000 0.5000 0.2709
```



# 3
Theoretical powder XRD pattern
Compound: Pu2Ga9Pt3
Radiation: Cu Kα, 1.54184 Å
Structure: a DFT-relaxed cell (GGA-PBE, Alexandria)
Kinematic intensities with the Lorentz-polarization factor, no thermal factor.

Top 10 peaks for 10 to 80 degrees two-theta, most intense first:
- 40.61 deg, d = 2.222 Å, I 100.0
- 36.52 deg, d = 2.460 Å, I 84.6
- 29.76 deg, d = 3.002 Å, I 73.5
- 51.15 deg, d = 1.786 Å, I 28.8
- 56.44 deg, d = 1.630 Å, I 26.6
- 67.27 deg, d = 1.392 Å, I 25.6
- 62.91 deg, d = 1.477 Å, I 23.8
- 37.47 deg, d = 2.400 Å, I 23.6
- 71.21 deg, d = 1.324 Å, I 23.4
- 24.93 deg, d = 3.572 Å, I 21.5

Atomic structure:
```
Pu2Ga9Pt3
1.0
6.6685 -3.8456 0.0000
6.6685 3.8456 0.0000
-4.4541 0.0000 9.6002
Pu Ga Pt
4 18 6
direct
0.0839 0.2509 0.2505
0.2509 0.0839 0.7505
0.7491 0.9161 0.2495
0.9161 0.7491 0.7495
0.0221 0.8642 0.0798
0.1358 0.9779 0.4202
0.1892 0.3606 0.5810
0.2100 0.5823 0.2508
0.3042 0.4753 0.9260
0.3606 0.1892 0.0810
0.3758 0.6242 0.7500
0.4177 0.7900 0.2492
0.4753 0.3042 0.4260
0.5247 0.6958 0.5740
0.5823 0.2100 0.7508
0.6242 0.3758 0.2500
0.6394 0.8108 0.9190
0.6958 0.5247 0.0740
0.7900 0.4177 0.7492
0.8108 0.6394 0.4190
0.8642 0.0221 0.5798
0.9779 0.1358 0.9202
0.0000 0.5000 0.0000
0.1670 0.6675 0.5002
0.3325 0.8330 0.9998
0.5000 0.0000 0.5000
0.6675 0.1670 0.0002
0.8330 0.3325 0.4998
```